Computed X-ray diffraction stick pattern of CsCeRu2O8 for CuKα, from the PBE geometry in Alexandria.
Lines closer than 0.1° are merged.

Main lines, low angle first (2θ from 10° to 90°):
| h k l | d [Å] | I (rel.) |
| --- | --- | --- |
| 1 0 0 | 5.209 | 31.0 |
| 0 1 1 | 4.452 | 82.2 |
| 0 1 2 | 3.310 | 100.0 |
| 1 1 0 | 3.007 | 70.4 |
| 0 2 2 | 2.226 | 39.7 |
| 1 2 1 | 1.919 | 14.6 |
| 3 -2 2 | 1.789 | 33.6 |
| 1 1 4 | 1.746 | 30.1 |
| 3 0 0 | 1.736 | 14.0 |
| 3 1 2 | 1.369 | 14.3 |

Structure:
Cell: 6.0146 6.0146 8.5756 Å, 90.00 90.00 120.00°
Space group P-3 (No. 147)
One atom of each set of equivalent atoms:
Cs1 0.0000 0.0000 0.0000 [1 per cell]
Ce1 0.0000 0.0000 0.5000 [1 per cell]
Ru1 0.3333 0.6667 0.7402 [2 per cell]
O1 0.1543 0.3422 0.6620 [6 per cell]
O2 0.3333 0.6667 0.9442 [2 per cell]